Starting from the PBE+U geometry in the Materials Project, the PXRD pattern of Li3V2O4F2 was calculated for λ = 1.5418 Å (Cu Kα).

Cell and atoms:
```
data_Li3V2O4F2
_space_group_name_H-M_alt 'C 1 2 1'
_space_group_IT_number 5
_space_group_name_Hall 'C 2y'
_cell_length_a 5.0437
_cell_length_b 8.7188
_cell_length_c 14.8906
_cell_angle_alpha 90.00
_cell_angle_beta 90.18
_cell_angle_gamma 90.00
loop_
_atom_site_label
_atom_site_type_symbol
_atom_site_fract_x
_atom_site_fract_y
_atom_site_fract_z
Li1 Li 0.0000 0.0000 0.0000
Li2 Li 0.0000 0.0021 0.5000
Li3 Li 0.0000 0.3347 0.0000
Li4 Li 0.0000 0.3431 0.5000
Li5 Li 0.0000 0.6588 0.5000
Li6 Li 0.1639 0.8378 0.6416
Li7 Li 0.1696 0.1678 0.6431
V1 V 0.1573 0.5071 0.1673
V2 V 0.1649 0.8360 0.1682
V3 V 0.1750 0.1658 0.1671
O1 O 0.0035 0.3337 0.2349
O2 O 0.0039 0.6716 0.2381
O3 O 0.0092 0.0038 0.7645
O4 O 0.1584 0.1693 0.9061
O5 O 0.1710 0.4970 0.9082
O6 O 0.1718 0.8401 0.9059
F1 F 0.1542 0.8237 0.4206
F2 F 0.1585 0.1799 0.4195
F3 F 0.1830 0.5013 0.4219
```

Largest 6 diffraction maxima, in order of rising 2θ, 10° ≤ 2θ ≤ 90°:
| 2θ/deg | d/Å | Rel. int. | h k l |
| --- | --- | --- | --- |
| 11.89 | 7.445 | 35 | 0 0 2 |
| 17.87 | 4.963 | 100 | 0 0 3 |
| 36.16 | 2.484 | 38 | 2 0 1 |
| 43.35 | 2.087 | 63 | 1 3 -4 |
| 43.41 | 2.085 | 33 | 2 0 4 |
| 62.05 | 1.496 | 16 | 1 3 8 |

=====

Starting from the PBE+U geometry in the Materials Project, the PXRD pattern of Li5V6O5F19 was calculated for λ = 1.5418 Å (Cu Kα).

Cell and atoms:
```
data_Li5V6O5F19
_space_group_name_H-M_alt 'P 1'
_space_group_IT_number 1
_space_group_name_Hall 'P 1'
_cell_length_a 5.1615
_cell_length_b 5.3976
_cell_length_c 16.5039
_cell_angle_alpha 80.63
_cell_angle_beta 89.96
_cell_angle_gamma 89.12
loop_
_atom_site_label
_atom_site_type_symbol
_atom_site_fract_x
_atom_site_fract_y
_atom_site_fract_z
Li1 Li 0.0000 0.0000 0.0000
Li2 Li 0.0750 0.0026 0.4284
Li3 Li 0.2215 0.0394 0.7029
Li4 Li 0.4822 0.5203 0.4203
Li5 Li 0.5898 0.5106 0.9923
V1 V 0.0147 0.3767 0.5490
V2 V 0.0274 0.0314 0.2098
V3 V 0.0691 0.6416 0.8771
V4 V 0.5155 0.8569 0.5585
V5 V 0.5240 0.1377 0.8779
V6 V 0.5490 0.5050 0.2093
O1 O 0.2511 0.3718 0.9058
O2 O 0.2516 0.0367 0.5731
O3 O 0.3498 0.8684 0.9074
O4 O 0.8295 0.2948 0.1919
O5 O 0.8371 0.6438 0.5187
F1 F 0.1401 0.0464 0.1003
F2 F 0.1434 0.7280 0.7662
F3 F 0.1642 0.3508 0.4401
F4 F 0.2527 0.7146 0.2318
F5 F 0.3374 0.2105 0.2348
F6 F 0.3401 0.5280 0.5795
F7 F 0.4138 0.8460 0.4417
F8 F 0.4468 0.2049 0.7666
F9 F 0.4571 0.5507 0.1013
F10 F 0.6275 0.4724 0.3187
F11 F 0.6626 0.8067 0.6594
F12 F 0.6656 0.1594 0.9872
F13 F 0.7415 0.4798 0.8579
F14 F 0.7461 0.1479 0.5148
F15 F 0.7535 0.8025 0.1866
F16 F 0.8588 0.9814 0.8572
F17 F 0.9265 0.6580 0.9870
F18 F 0.9514 0.2766 0.6597
F19 F 0.9614 0.9550 0.3241
```

Largest 6 diffraction maxima, in order of rising 2θ, 10° ≤ 2θ ≤ 90°:
| 2θ/deg | d/Å | Rel. int. | h k l |
| --- | --- | --- | --- |
| 16.33 | 5.428 | 100 | 0 0 3 |
| 25.07 | 3.552 | 67 | 1 1 -1 |
| 25.42 | 3.503 | 68 | 1 -1 1 |
| 33.01 | 2.714 | 10 | 0 0 6 |
| 33.20 | 2.698 | 11 | 0 2 1 |
| 48.43 | 1.879 | 20 | 2 2 1 |

=====

Starting from the PBE+U geometry in the Materials Project, the PXRD pattern of LiVOF3 was calculated for λ = 1.5418 Å (Cu Kα).

Cell and atoms:
```
data_LiVOF3
_space_group_name_H-M_alt 'P 1'
_space_group_IT_number 1
_space_group_name_Hall 'P 1'
_cell_length_a 5.1187
_cell_length_b 5.7125
_cell_length_c 5.8554
_cell_angle_alpha 118.86
_cell_angle_beta 90.96
_cell_angle_gamma 95.64
loop_
_atom_site_label
_atom_site_type_symbol
_atom_site_fract_x
_atom_site_fract_y
_atom_site_fract_z
Li1 Li 0.0000 0.0000 0.0000
Li2 Li 0.1538 0.8230 0.4073
V1 V 0.0759 0.4226 0.6963
V2 V 0.5599 0.3855 0.4113
O1 O 0.2469 0.1991 0.3682
O2 O 0.9156 0.6040 0.5755
F1 F 0.0015 0.6683 0.0504
F2 F 0.1491 0.1493 0.7835
F3 F 0.4253 0.6171 0.7761
F4 F 0.4590 0.6389 0.3250
F5 F 0.7011 0.1813 0.0953
F6 F 0.7338 0.1823 0.5594
```

Largest 6 diffraction maxima, in order of rising 2θ, 10° ≤ 2θ ≤ 90°:
| 2θ/deg | d/Å | Rel. int. | h k l |
| --- | --- | --- | --- |
| 17.34 | 5.114 | 31 | 0 0 1 |
| 17.85 | 4.968 | 100 | 0 1 0 |
| 25.64 | 3.474 | 39 | 1 0 1 |
| 38.22 | 2.355 | 23 | 1 0 -2 |
| 39.55 | 2.278 | 19 | 1 -2 2 |
| 41.87 | 2.158 | 23 | 2 1 0 |

=====

> Number 3 is which compound?

LiVOF3